# KAl3Fe2Si2H2O12
Theoretical powder diffractogram, CuKα. Input: a crystal structure in Alexandria, relaxed with PBE+U.
Lines closer than 0.1° are merged.

Top 10 peaks for 5° ≤ 2θ ≤ 70°, most intense first:
d/Å	intensity
10.348	100
2.656	28
3.450	27
2.668	14
2.209	14
1.557	12
2.470	11
3.207	8
1.708	8
3.483	8

a b c (Å): 5.3886 5.4057 10.5210
angles (deg): 95.66 94.70 119.86
Space group P1 (No. 1)
Symmetry-distinct sites (fractional):
K 0.0000 0.0000 0.0000 [1 per cell]
Al 0.2474 0.5885 0.7691 [1 per cell]
Al 0.7368 0.4115 0.2314 [1 per cell]
Al 0.8196 0.1805 0.4995 [1 per cell]
Fe 0.1542 0.8348 0.5013 [1 per cell]
Fe 0.4878 0.5071 0.4994 [1 per cell]
Si 0.4108 0.7579 0.2298 [1 per cell]
Si 0.5902 0.2583 0.7710 [1 per cell]
H 0.0531 0.0958 0.3084 [1 per cell]
H 0.8861 0.9552 0.6904 [1 per cell]
O 0.0703 0.6509 0.1844 [1 per cell]
O 0.0864 0.1289 0.4024 [1 per cell]
O 0.1625 0.5110 0.5968 [1 per cell]
O 0.3675 0.9560 0.8191 [1 per cell]
O 0.4744 0.5001 0.1821 [1 per cell]
O 0.4860 0.8412 0.3922 [1 per cell]
O 0.5173 0.5093 0.8182 [1 per cell]
O 0.5537 0.2033 0.6083 [1 per cell]
O 0.6202 0.0485 0.1696 [1 per cell]
O 0.7799 0.4396 0.4034 [1 per cell]
O 0.8534 0.9113 0.5965 [1 per cell]
O 0.9251 0.3612 0.8285 [1 per cell]